Record 1
Starting from a GGA-PBE-relaxed structure, the powder diffractogram of Tm7Ga2Sb2 was simulated for a wavelength of 1.5418 Å.

Top 10 peaks for 10 to 90 degrees two-theta, sorted by position:
Position (°2θ)  d [Å]  I/Imax
26.30  3.389  48
27.32  3.264  52
29.03  3.076  82
30.21  2.958  24
33.24  2.696  25
33.77  2.654  67
34.94  2.568  29
36.48  2.463  61
37.42  2.403  100
46.05  1.971  33

```
data_Tm7Ga2Sb2
_cell_length_a 7.548
_cell_length_b 10.616
_cell_length_c 7.703
_cell_angle_alpha 90.00
_cell_angle_beta 90.00
_cell_angle_gamma 90.00
_space_group_name_H-M_alt 'C m m m'
_space_group_IT_number 65
_space_group_name_Hall '-C 2 2'
loop_
_atom_site_label
_atom_site_type_symbol
_atom_site_fract_x
_atom_site_fract_y
_atom_site_fract_z
Tm1 Tm 0.000 0.000 0.000
Tm2 Tm 0.000 0.500 0.283
Tm3 Tm 0.250 0.250 0.295
Ga1 Ga 0.170 0.000 0.500
Sb1 Sb 0.000 0.300 0.000
```

Record 2
Starting from a GGA-PBE-relaxed structure, the powder diffractogram of V12Ga3Sb was simulated for a wavelength of 1.5418 Å.

Top 10 peaks for 10 to 90 degrees two-theta, sorted by position:
Position (°2θ)  d [Å]  I/Imax
37.10  2.423  47
37.63  2.391  22
41.67  2.167  35
41.79  2.161  35
42.15  2.144  35
45.98  1.974  100
46.31  1.961  45
73.14  1.294  21
73.39  1.290  23
73.80  1.284  22

```
data_V12Ga3Sb
_cell_length_a 4.846
_cell_length_b 4.847
_cell_length_c 9.562
_cell_angle_alpha 90.00
_cell_angle_beta 90.00
_cell_angle_gamma 90.00
_space_group_name_H-M_alt 'P m m m'
_space_group_IT_number 47
_space_group_name_Hall '-P 2 2'
loop_
_atom_site_label
_atom_site_type_symbol
_atom_site_fract_x
_atom_site_fract_y
_atom_site_fract_z
V1 V 0.000 0.000 0.120
V2 V 0.000 0.000 0.366
V3 V 0.240 0.500 0.500
V4 V 0.261 0.500 0.000
V5 V 0.500 0.259 0.243
Ga1 Ga 0.000 0.500 0.250
Ga2 Ga 0.500 0.000 0.000
Sb1 Sb 0.500 0.000 0.500
```